No. 1
This entry pairs a crystal structure of Co3Te4 with its theoretical PXRD pattern. Radiation: Cu Kα (λ = 1.5418 Å). Structure: DFT lattice parameters and positions (PBE).

Structural model:
```
Co3Te4
1.0
0.000 5.279 5.279
5.279 0.000 5.279
5.279 5.279 0.000
Co Te
6 8
direct
0.000 0.000 0.000
0.000 0.000 0.500
0.000 0.500 0.000
0.375 0.375 0.375
0.500 0.000 0.000
0.625 0.625 0.625
0.228 0.757 0.757
0.243 0.243 0.243
0.243 0.243 0.772
0.243 0.772 0.243
0.757 0.228 0.757
0.757 0.757 0.228
0.757 0.757 0.757
0.772 0.243 0.243
```

Top 12 peaks for 15 to 90 degrees two-theta, in order of falling intensity:
d [Å], 2theta, I_rel
1.866, 48.8, 100
2.639, 34.0, 97
3.048, 29.3, 84
1.592, 57.9, 34
1.180, 81.6, 26
1.524, 60.8, 22
2.032, 44.6, 20
3.183, 28.0, 19
1.320, 71.5, 15
1.211, 79.1, 13
3.733, 23.8, 7
1.107, 88.3, 5

***

No. 2
This entry pairs a crystal structure of Ac16Co3Rh5 with its theoretical PXRD pattern. Radiation: Cu Kα (λ = 1.5418 Å). Structure: DFT lattice parameters and positions (PBE).

Structural model:
```
Ac16Co3Rh5
1.0
7.397 -4.263 0.000
7.397 4.263 0.000
-0.022 0.000 13.888
Ac Co Rh
16 3 5
direct
0.000 0.000 0.000
0.000 0.000 0.498
0.015 0.481 0.487
0.159 0.159 0.227
0.166 0.669 0.230
0.323 0.837 0.730
0.324 0.324 0.726
0.481 0.015 0.487
0.486 0.486 0.486
0.500 0.976 0.989
0.506 0.506 0.990
0.659 0.659 0.224
0.669 0.166 0.230
0.831 0.831 0.734
0.837 0.323 0.730
0.976 0.500 0.989
0.162 0.162 0.609
0.329 0.829 0.111
0.829 0.329 0.111
0.161 0.663 0.612
0.329 0.329 0.349
0.662 0.662 0.851
0.663 0.161 0.612
0.830 0.830 0.112
```

Top 12 peaks for 15 to 90 degrees two-theta, in order of falling intensity:
d [Å], 2theta, I_rel
3.262, 27.3, 100
2.134, 42.4, 39
2.888, 31.0, 39
2.220, 40.6, 21
3.472, 25.7, 21
3.571, 24.9, 21
1.818, 50.2, 21
1.961, 46.3, 19
2.530, 35.5, 12
1.786, 51.1, 12
1.347, 69.8, 11
1.370, 68.5, 9

***

No. 3
This entry pairs a crystal structure of Pm3PS with its theoretical PXRD pattern. Radiation: Cu Kα (λ = 1.5418 Å). Structure: DFT lattice parameters and positions (PBE).

Structural model:
```
Pm3PS
1.0
6.696 0.000 0.000
-3.348 5.799 0.000
0.000 0.000 3.668
Pm P S
3 1 1
direct
0.007 0.671 0.000
0.329 0.336 0.000
0.664 0.993 0.000
0.333 0.667 0.500
0.000 0.000 0.500
```

Top 12 peaks for 15 to 90 degrees two-theta, in order of falling intensity:
d [Å], 2theta, I_rel
2.473, 36.3, 100
3.348, 26.6, 85
3.668, 24.3, 29
1.933, 47.0, 27
1.523, 60.8, 22
1.710, 53.6, 21
1.608, 57.3, 21
1.196, 80.2, 20
1.330, 70.8, 16
1.674, 54.8, 12
1.265, 75.1, 9
1.148, 84.3, 9

***

No. 4
This entry pairs a crystal structure of Cs8Hg6H with its theoretical PXRD pattern. Radiation: Cu Kα (λ = 1.5418 Å). Structure: DFT lattice parameters and positions (PBE).

Structural model:
```
Cs8Hg6H
1.0
5.846 3.375 6.938
-5.846 3.375 6.938
0.000 -6.751 6.938
Cs Hg H
8 6 1
direct
0.134 0.134 0.134
0.187 0.639 0.400
0.361 0.600 0.813
0.400 0.187 0.639
0.600 0.813 0.361
0.639 0.400 0.187
0.813 0.361 0.600
0.866 0.866 0.866
0.004 0.465 0.851
0.149 0.996 0.535
0.465 0.851 0.004
0.535 0.149 0.996
0.851 0.004 0.465
0.996 0.535 0.149
0.500 0.500 0.500
```

Top 12 peaks for 15 to 90 degrees two-theta, in order of falling intensity:
d [Å], 2theta, I_rel
3.764, 23.6, 100
3.083, 29.0, 61
2.817, 31.8, 50
3.592, 24.8, 49
2.983, 30.0, 41
3.469, 25.7, 29
1.876, 48.5, 25
2.328, 38.7, 20
1.907, 47.7, 20
2.711, 33.0, 20
2.471, 36.4, 19
5.846, 15.2, 19